Record 1
K3Be2RhO6: calculated powder X-ray diffraction pattern (CuKα), based on a structure optimized by DFT (GGA-PBE).

Most intense lines, 5 to 70 degrees two-theta, in order of falling intensity:
2theta, I (rel.)
32.7, 100.0
18.7, 47.6
13.2, 42.6
47.0, 32.0
58.4, 26.8
23.0, 23.6
40.4, 19.8
65.2, 11.0

Atomic structure:
```
K3Be2RhO6
1.0
5.468 0.000 0.000
-2.734 4.736 0.000
0.000 0.000 6.716
K Be Rh O
3 2 1 6
Direct
0.000 0.000 0.000 K
0.333 0.667 0.741 K
0.667 0.333 0.259 K
0.333 0.667 0.332 Be
0.667 0.333 0.668 Be
0.000 0.000 0.500 Rh
0.171 0.341 0.322 O
0.171 0.829 0.322 O
0.341 0.171 0.678 O
0.659 0.829 0.322 O
0.829 0.171 0.678 O
0.829 0.659 0.678 O
```

Record 2
La5Zn2Ga5: calculated powder X-ray diffraction pattern (CuKα), based on a structure optimized by DFT (GGA-PBE).

Most intense lines, 5 to 70 degrees two-theta, in order of falling intensity:
2theta, I (rel.)
30.1, 100.0
38.8, 87.6
32.7, 57.9
32.8, 48.5
40.6, 45.3
35.6, 33.1
33.0, 29.5
53.2, 24.7

Atomic structure:
```
La5Zn2Ga5
1.0
7.816 -2.220 0.000
7.816 2.220 0.000
-7.480 0.000 8.866
La Zn Ga
5 2 5
Direct
0.000 0.000 0.000 La
0.300 0.300 0.400 La
0.369 0.369 0.193 La
0.631 0.631 0.807 La
0.700 0.700 0.600 La
0.406 0.406 0.752 Zn
0.594 0.594 0.248 Zn
0.000 0.000 0.500 Ga
0.074 0.074 0.348 Ga
0.314 0.314 0.880 Ga
0.686 0.686 0.120 Ga
0.926 0.926 0.652 Ga
```

Record 3
BaRuO5: calculated powder X-ray diffraction pattern (CuKα), based on a structure optimized by DFT (GGA-PBE).

Most intense lines, 5 to 70 degrees two-theta, in order of falling intensity:
2theta, I (rel.)
27.2, 100.0
20.7, 77.9
31.6, 53.4
42.2, 44.8
53.6, 31.7
18.1, 25.3
52.6, 24.4
40.9, 14.6

Atomic structure:
```
BaRuO5
1.0
4.902 2.830 8.826
-4.902 2.830 8.826
0.000 -5.660 8.826
Ba Ru O
6 6 30
Direct
0.000 0.000 0.000 Ba
0.163 0.163 0.163 Ba
0.337 0.337 0.337 Ba
0.500 0.500 0.500 Ba
0.663 0.663 0.663 Ba
0.837 0.837 0.837 Ba
0.104 0.750 0.396 Ru
0.250 0.604 0.896 Ru
0.396 0.104 0.750 Ru
0.604 0.896 0.250 Ru
0.750 0.396 0.104 Ru
0.896 0.250 0.604 Ru
0.001 0.035 0.717 O
0.035 0.717 0.001 O
0.079 0.250 0.421 O
0.133 0.686 0.253 O
0.186 0.633 0.753 O
0.217 0.535 0.501 O
0.247 0.814 0.367 O
0.250 0.421 0.079 O
0.253 0.133 0.686 O
0.283 0.999 0.965 O
0.314 0.747 0.867 O
0.367 0.247 0.814 O
0.421 0.079 0.250 O
0.465 0.499 0.783 O
0.499 0.783 0.465 O
0.501 0.217 0.535 O
0.535 0.501 0.217 O
0.579 0.921 0.750 O
0.633 0.753 0.186 O
0.686 0.253 0.133 O
0.717 0.001 0.035 O
0.747 0.867 0.314 O
0.750 0.579 0.921 O
0.753 0.186 0.633 O
0.783 0.465 0.499 O
0.814 0.367 0.247 O
0.867 0.314 0.747 O
0.921 0.750 0.579 O
0.965 0.283 0.999 O
0.999 0.965 0.283 O
```

Record 4
YGeAu: calculated powder X-ray diffraction pattern (CuKα), based on a structure optimized by DFT (GGA-PBE).

Most intense lines, 5 to 70 degrees two-theta, in order of falling intensity:
2theta, I (rel.)
33.4, 100.0
40.7, 72.8
17.1, 53.1
32.8, 51.7
37.7, 50.7
34.5, 35.1
24.8, 27.9
39.5, 24.9

Atomic structure:
```
YGeAu
1.0
-2.388 3.758 3.592
2.388 -3.758 3.592
2.388 3.758 -3.592
Y Ge Au
2 2 2
Direct
0.218 0.250 0.468 Y
0.782 0.750 0.532 Y
0.217 0.541 0.176 Ge
0.365 0.041 0.824 Ge
0.617 0.960 0.157 Au
0.804 0.460 0.843 Au
```

Record 5
PmDyCo2: calculated powder X-ray diffraction pattern (CuKα), based on a structure optimized by DFT (GGA-PBE).

Most intense lines, 5 to 70 degrees two-theta, in order of falling intensity:
2theta, I (rel.)
30.3, 100.0
33.9, 94.1
33.0, 93.2
41.3, 76.1
39.0, 70.2
36.7, 66.5
46.8, 40.3
59.0, 38.1

Atomic structure:
```
PmDyCo2
1.0
3.881 0.000 0.000
0.000 5.641 0.000
0.000 0.000 7.593
Pm Dy Co
2 2 4
Direct
0.000 0.132 0.000 Pm
0.000 0.868 0.500 Pm
0.500 0.369 0.356 Dy
0.500 0.631 0.856 Dy
0.000 0.358 0.647 Co
0.000 0.642 0.147 Co
0.500 0.164 0.703 Co
0.500 0.836 0.203 Co
```

Record 6
Li7Ac3Tl4: calculated powder X-ray diffraction pattern (CuKα), based on a structure optimized by DFT (GGA-PBE).

Most intense lines, 5 to 70 degrees two-theta, in order of falling intensity:
2theta, I (rel.)
23.0, 100.0
33.3, 93.0
30.9, 67.1
30.4, 42.3
35.2, 42.2
22.2, 30.2
11.7, 28.7
47.2, 25.8

Atomic structure:
```
Li7Ac3Tl4
1.0
8.877 -2.550 0.000
8.877 2.550 0.000
-5.027 0.000 8.065
Li Ac Tl
7 3 4
Direct
0.000 0.000 0.000 Li
0.140 0.140 0.339 Li
0.338 0.338 0.186 Li
0.495 0.495 0.173 Li
0.505 0.505 0.827 Li
0.662 0.662 0.814 Li
0.860 0.860 0.661 Li
0.000 0.000 0.500 Ac
0.277 0.277 0.778 Ac
0.723 0.723 0.222 Ac
0.133 0.133 0.933 Tl
0.351 0.351 0.500 Tl
0.649 0.649 0.500 Tl
0.867 0.867 0.067 Tl
```

Record 7
TiHg3Bi: calculated powder X-ray diffraction pattern (CuKα), based on a structure optimized by DFT (GGA-PBE).

Most intense lines, 5 to 70 degrees two-theta, in order of falling intensity:
2theta, I (rel.)
29.2, 100.0
33.8, 65.3
48.6, 47.9
57.7, 46.5
60.5, 16.7
23.7, 1.3
16.7, 1.0
41.7, 0.6

Atomic structure:
```
TiHg3Bi
1.0
5.302 0.000 0.000
0.000 5.302 0.000
0.000 0.000 5.302
Ti Hg Bi
1 3 1
Direct
0.000 0.000 0.000 Ti
0.000 0.000 0.500 Hg
0.000 0.500 0.000 Hg
0.500 0.000 0.000 Hg
0.500 0.500 0.500 Bi
```

Record 8
LiTl4O6: calculated powder X-ray diffraction pattern (CuKα), based on a structure optimized by DFT (GGA-PBE).

Most intense lines, 5 to 70 degrees two-theta, in order of falling intensity:
2theta, I (rel.)
29.1, 100.0
29.3, 98.8
28.5, 91.3
30.5, 83.1
28.3, 80.0
36.2, 53.9
36.7, 53.9
48.4, 44.9

Atomic structure:
```
LiTl4O6
1.0
5.423 -3.199 0.000
5.423 3.199 0.000
-4.595 0.000 9.927
Li Tl O
2 8 12
Direct
0.209 0.791 0.500 Li
0.791 0.209 0.000 Li
0.072 0.752 0.710 Tl
0.154 0.415 0.266 Tl
0.349 0.691 0.064 Tl
0.415 0.154 0.766 Tl
0.658 0.779 0.400 Tl
0.691 0.349 0.564 Tl
0.752 0.072 0.210 Tl
0.779 0.658 0.900 Tl
0.017 0.895 0.912 O
0.051 0.655 0.117 O
0.054 0.562 0.492 O
0.417 0.770 0.691 O
0.421 0.998 0.235 O
0.463 0.553 0.399 O
0.553 0.463 0.899 O
0.562 0.054 0.992 O
0.655 0.051 0.617 O
0.770 0.417 0.191 O
0.895 0.017 0.412 O
0.998 0.421 0.735 O
```

Record 9
Rb2PuTiS4: calculated powder X-ray diffraction pattern (CuKα), based on a structure optimized by DFT (GGA-PBE).

Most intense lines, 5 to 70 degrees two-theta, in order of falling intensity:
2theta, I (rel.)
24.8, 100.0
42.9, 43.2
15.0, 37.7
24.2, 31.8
44.0, 28.0
34.5, 24.2
28.6, 15.3
17.0, 14.7

Atomic structure:
```
Rb2PuTiS4
1.0
-3.678 3.678 4.961
3.678 -3.678 4.961
3.678 3.678 -4.961
Rb Pu Ti S
2 1 1 4
Direct
0.000 0.000 0.000 Rb
0.750 0.250 0.500 Rb
0.500 0.500 0.000 Pu
0.250 0.750 0.500 Ti
0.215 0.091 0.565 S
0.349 0.785 0.875 S
0.526 0.651 0.435 S
0.909 0.474 0.125 S
```

Record 10
YUO4: calculated powder X-ray diffraction pattern (CuKα), based on a structure optimized by DFT (GGA-PBE).

Most intense lines, 5 to 70 degrees two-theta, in order of falling intensity:
2theta, I (rel.)
28.8, 100.0
48.0, 52.6
56.9, 30.3
18.5, 26.3
33.4, 21.3
57.1, 15.0
33.5, 10.5
59.7, 9.2

Atomic structure:
```
YUO4
1.0
-2.685 2.685 5.350
2.685 -2.685 5.350
2.685 2.685 -5.350
Y U O
2 2 8
Direct
0.375 0.625 0.750 Y
0.625 0.375 0.250 Y
0.125 0.875 0.250 U
0.875 0.125 0.750 U
0.000 0.237 0.237 O
0.000 0.763 0.763 O
0.237 0.000 0.737 O
0.237 0.500 0.237 O
0.500 0.237 0.737 O
0.500 0.763 0.263 O
0.763 0.000 0.263 O
0.763 0.500 0.763 O
```

Record 11
La5TbSmEr2: calculated powder X-ray diffraction pattern (CuKα), based on a structure optimized by DFT (GGA-PBE).

Most intense lines, 5 to 70 degrees two-theta, in order of falling intensity:
2theta, I (rel.)
31.1, 100.0
32.6, 30.2
57.2, 18.4
26.3, 18.2
33.6, 17.9
47.5, 13.7
30.2, 12.4
32.4, 10.5

Atomic structure:
```
La5TbSmEr2
1.0
2.750 -10.887 0.000
2.750 10.887 0.000
0.000 0.000 10.666
La Tb Sm Er
10 2 2 4
Direct
0.000 0.000 0.000 La
0.000 0.000 0.500 La
0.123 0.877 0.750 La
0.220 0.780 0.061 La
0.220 0.780 0.439 La
0.500 0.500 0.250 La
0.500 0.500 0.750 La
0.780 0.220 0.561 La
0.780 0.220 0.939 La
0.877 0.123 0.250 La
0.100 0.900 0.250 Tb
0.900 0.100 0.750 Tb
0.286 0.714 0.750 Sm
0.714 0.286 0.250 Sm
0.387 0.613 0.502 Er
0.387 0.613 0.998 Er
0.613 0.387 0.002 Er
0.613 0.387 0.498 Er
```

Record 12
Sr2TbSnO6: calculated powder X-ray diffraction pattern (CuKα), based on a structure optimized by DFT (GGA-PBE).

Most intense lines, 5 to 70 degrees two-theta, in order of falling intensity:
2theta, I (rel.)
30.0, 100.0
42.8, 25.9
29.6, 23.9
30.2, 23.4
52.7, 18.0
53.4, 17.6
21.0, 17.5
53.5, 17.4

Atomic structure:
```
Sr2TbSnO6
1.0
5.922 0.000 0.000
0.000 6.037 0.000
-5.900 0.000 8.422
Sr Tb Sn O
4 2 2 12
Direct
0.238 0.043 0.250 Sr
0.238 0.457 0.750 Sr
0.762 0.543 0.250 Sr
0.762 0.957 0.750 Sr
0.500 0.000 0.000 Tb
0.500 0.500 0.500 Tb
0.000 0.000 0.500 Sn
0.000 0.500 0.000 Sn
0.148 0.221 0.949 O
0.148 0.279 0.449 O
0.235 0.701 0.954 O
0.235 0.799 0.454 O
0.330 0.033 0.739 O
0.330 0.467 0.239 O
0.670 0.533 0.761 O
0.670 0.967 0.261 O
0.765 0.201 0.546 O
0.765 0.299 0.046 O
0.852 0.721 0.551 O
0.852 0.779 0.051 O
```